(1)
For Sr2VP3O12, the GGA+U geometry in the Materials Project gives the simulated powder X-ray diffraction pattern in this record (CuKα).
Kinematic intensities with the Lorentz-polarization factor, no thermal factor.

Largest 8 diffraction maxima, sorted by position, 15 to 90 degrees two-theta:
d/Å, Rel. int.
4.709, 30
3.716, 41
3.406, 100
3.144, 92
2.837, 65
2.754, 33
2.679, 35
1.884, 24

Atomic structure:
Lattice parameters (Å, degrees): 8.238 8.238 9.118 113.38 113.38 96.68
Fractional positions:
Sr: 0.056 0.645 0.812
Sr: 0.355 0.944 0.688
Sr: 0.645 0.056 0.312
Sr: 0.944 0.355 0.188
V: 0.500 0.500 0.000
V: 0.500 0.500 0.500
P: 0.181 0.298 0.558
P: 0.296 0.704 0.250
P: 0.298 0.181 0.058
P: 0.702 0.819 0.942
P: 0.704 0.296 0.750
P: 0.819 0.702 0.442
O: 0.020 0.696 0.517
O: 0.092 0.626 0.183
O: 0.115 0.207 0.039
O: 0.207 0.115 0.539
O: 0.260 0.377 0.456
O: 0.301 0.457 0.769
O: 0.304 0.980 0.983
O: 0.353 0.601 0.097
O: 0.374 0.908 0.317
O: 0.377 0.260 0.956
O: 0.399 0.647 0.403
O: 0.457 0.301 0.269
O: 0.543 0.699 0.731
O: 0.601 0.353 0.597
O: 0.623 0.740 0.044
O: 0.626 0.092 0.683
O: 0.647 0.399 0.903
O: 0.696 0.020 0.017
O: 0.699 0.543 0.231
O: 0.740 0.623 0.544
O: 0.793 0.885 0.461
O: 0.885 0.793 0.961
O: 0.908 0.374 0.817
O: 0.980 0.304 0.483

(2)
For Sr2VP2O9, the GGA+U geometry in the Materials Project gives the simulated powder X-ray diffraction pattern in this record (CuKα).
Kinematic intensities with the Lorentz-polarization factor, no thermal factor.

Largest 8 diffraction maxima, sorted by position, 15 to 90 degrees two-theta:
d/Å, Rel. int.
3.437, 37
3.197, 46
3.089, 97
2.969, 27
2.936, 67
2.861, 31
2.841, 100
2.367, 29

Atomic structure:
Lattice parameters (Å, degrees): 8.822 8.822 6.833 102.47 102.47 130.10
Fractional positions:
Sr: 0.042 0.958 0.500
Sr: 0.374 0.622 0.999
Sr: 0.622 0.374 0.499
Sr: 0.958 0.042 0.000
V: 0.016 0.523 0.269
V: 0.523 0.016 0.769
P: 0.163 0.836 0.999
P: 0.422 0.578 0.500
P: 0.578 0.422 0.000
P: 0.836 0.163 0.499
O: 0.002 0.216 0.712
O: 0.068 0.621 0.024
O: 0.211 0.792 0.498
O: 0.216 0.002 0.212
O: 0.243 0.517 0.285
O: 0.311 0.360 0.513
O: 0.360 0.311 0.013
O: 0.379 0.930 0.977
O: 0.483 0.756 0.716
O: 0.517 0.243 0.785
O: 0.621 0.068 0.524
O: 0.638 0.687 0.484
O: 0.687 0.638 0.984
O: 0.756 0.483 0.216
O: 0.782 0.997 0.285
O: 0.792 0.211 0.998
O: 0.930 0.379 0.477
O: 0.997 0.782 0.785

(3)
For SrV2P2O10, the GGA+U geometry in the Materials Project gives the simulated powder X-ray diffraction pattern in this record (CuKα).
Kinematic intensities with the Lorentz-polarization factor, no thermal factor.

Largest 8 diffraction maxima, sorted by position, 15 to 90 degrees two-theta:
d/Å, Rel. int.
4.095, 48
3.437, 86
3.136, 67
2.925, 31
2.882, 100
2.481, 48
1.757, 31
1.674, 25

Atomic structure:
Lattice parameters (Å, degrees): 8.906 7.042 10.093 59.50 42.95 77.55
Fractional positions:
Sr: 0.000 0.000 0.000
Sr: 0.250 0.250 0.250
V: 0.158 0.625 0.602
V: 0.625 0.158 0.615
V: 0.635 0.648 0.625
V: 0.648 0.635 0.092
P: 0.046 0.464 0.036
P: 0.214 0.795 0.204
P: 0.464 0.046 0.455
P: 0.795 0.214 0.786
O: 0.008 0.333 0.690
O: 0.083 0.403 0.887
O: 0.180 0.852 0.354
O: 0.252 0.919 0.554
O: 0.281 0.560 0.917
O: 0.333 0.008 0.969
O: 0.363 0.622 0.167
O: 0.403 0.083 0.628
O: 0.420 0.593 0.409
O: 0.560 0.281 0.242
O: 0.593 0.420 0.578
O: 0.622 0.363 0.847
O: 0.636 0.896 0.398
O: 0.672 0.841 0.657
O: 0.696 0.975 0.998
O: 0.841 0.672 0.830
O: 0.852 0.180 0.614
O: 0.896 0.636 0.070
O: 0.919 0.252 0.275
O: 0.975 0.696 0.331

(4)
For V5TeP6O24, the GGA+U geometry in the Materials Project gives the simulated powder X-ray diffraction pattern in this record (CuKα).
Kinematic intensities with the Lorentz-polarization factor, no thermal factor.

Largest 8 diffraction maxima, sorted by position, 15 to 90 degrees two-theta:
d/Å, Rel. int.
4.354, 92
4.293, 24
3.692, 100
2.719, 72
2.514, 43
1.925, 29
1.846, 28
1.646, 25

Atomic structure:
Lattice parameters (Å, degrees): 8.588 8.588 8.588 60.93 60.93 60.93
Fractional positions:
V: 0.000 0.000 0.000
V: 0.140 0.140 0.140
V: 0.502 0.502 0.502
V: 0.645 0.645 0.645
V: 0.788 0.788 0.788
Te: 0.290 0.290 0.290
P: 0.093 0.701 0.396
P: 0.187 0.607 0.885
P: 0.396 0.093 0.701
P: 0.607 0.885 0.187
P: 0.701 0.396 0.093
P: 0.885 0.187 0.607
O: 0.034 0.652 0.814
O: 0.042 0.196 0.404
O: 0.079 0.896 0.234
O: 0.114 0.552 0.328
O: 0.145 0.755 0.961
O: 0.196 0.404 0.042
O: 0.234 0.079 0.896
O: 0.259 0.649 0.451
O: 0.328 0.114 0.552
O: 0.387 0.589 0.731
O: 0.404 0.042 0.196
O: 0.451 0.259 0.649
O: 0.552 0.328 0.114
O: 0.554 0.896 0.717
O: 0.589 0.731 0.387
O: 0.649 0.451 0.259
O: 0.652 0.814 0.034
O: 0.717 0.554 0.896
O: 0.731 0.387 0.589
O: 0.755 0.961 0.145
O: 0.814 0.034 0.652
O: 0.896 0.234 0.079
O: 0.896 0.717 0.554
O: 0.961 0.145 0.755

Copy entry 2 word for word.
For Sr2VP2O9, the GGA+U geometry in the Materials Project gives the simulated powder X-ray diffraction pattern in this record (CuKα).
Kinematic intensities with the Lorentz-polarization factor, no thermal factor.

Largest 8 diffraction maxima, sorted by position, 15 to 90 degrees two-theta:
d/Å, Rel. int.
3.437, 37
3.197, 46
3.089, 97
2.969, 27
2.936, 67
2.861, 31
2.841, 100
2.367, 29

Atomic structure:
Lattice parameters (Å, degrees): 8.822 8.822 6.833 102.47 102.47 130.10
Fractional positions:
Sr: 0.042 0.958 0.500
Sr: 0.374 0.622 0.999
Sr: 0.622 0.374 0.499
Sr: 0.958 0.042 0.000
V: 0.016 0.523 0.269
V: 0.523 0.016 0.769
P: 0.163 0.836 0.999
P: 0.422 0.578 0.500
P: 0.578 0.422 0.000
P: 0.836 0.163 0.499
O: 0.002 0.216 0.712
O: 0.068 0.621 0.024
O: 0.211 0.792 0.498
O: 0.216 0.002 0.212
O: 0.243 0.517 0.285
O: 0.311 0.360 0.513
O: 0.360 0.311 0.013
O: 0.379 0.930 0.977
O: 0.483 0.756 0.716
O: 0.517 0.243 0.785
O: 0.621 0.068 0.524
O: 0.638 0.687 0.484
O: 0.687 0.638 0.984
O: 0.756 0.483 0.216
O: 0.782 0.997 0.285
O: 0.792 0.211 0.998
O: 0.930 0.379 0.477
O: 0.997 0.782 0.785